# 1
Diffraction record for Ba4TlCdHg2. The powder diffractogram is calculated, not measured: it uses DFT lattice parameters and positions (GGA-PBE) and λ = 1.5418 Å (Cu Kα).

Structure:
```
data_Ba4TlCdHg2
_cell_length_a 10.400
_cell_length_b 10.400
_cell_length_c 10.400
_cell_angle_alpha 33.55
_cell_angle_beta 33.55
_cell_angle_gamma 33.55
_symmetry_space_group_name_H-M 'P 1'
_symmetry_Int_Tables_number 1
loop_
_symmetry_equiv_pos_as_xyz
'x,y,z'
loop_
_atom_site_label
_atom_site_fract_x
_atom_site_fract_y
_atom_site_fract_z
Ba1 0.125 0.125 0.125
Ba2 0.375 0.375 0.375
Ba3 0.625 0.625 0.625
Ba4 0.875 0.875 0.875
Tl1 0.500 0.500 0.500
Cd1 0.000 0.000 0.000
Hg1 0.250 0.250 0.250
Hg2 0.750 0.750 0.750
```

Principal peaks in the range 2θ from 5° to 70°, in order of rising 2θ:
2θ (°)	Rel. int.
9.02	1
18.10	1
20.93	3
29.76	100
42.60	19
47.92	1
52.83	40
61.82	13

---

# 2
Diffraction record for Ba2Cd2I. The powder diffractogram is calculated, not measured: it uses DFT lattice parameters and positions (GGA-PBE) and λ = 1.5418 Å (Cu Kα).

Structure:
```
data_Ba2Cd2I
_cell_length_a 5.023
_cell_length_b 5.023
_cell_length_c 9.754
_cell_angle_alpha 104.88
_cell_angle_beta 104.88
_cell_angle_gamma 60.13
_symmetry_space_group_name_H-M 'P 1'
_symmetry_Int_Tables_number 1
loop_
_symmetry_equiv_pos_as_xyz
'x,y,z'
loop_
_atom_site_label
_atom_site_fract_x
_atom_site_fract_y
_atom_site_fract_z
Ba1 0.079 0.079 0.239
Ba2 0.921 0.921 0.761
Cd1 0.333 0.333 0.999
Cd2 0.667 0.667 0.001
I1 0.500 0.500 0.500
```

Principal peaks in the range 2θ from 5° to 70°, in order of rising 2θ:
2θ (°)	Rel. int.
9.50	24
25.94	100
30.38	75
35.73	80
38.67	21
44.68	23
47.58	21
53.66	47

---

# 3
Diffraction record for BaCd2I6. The powder diffractogram is calculated, not measured: it uses DFT lattice parameters and positions (GGA-PBE) and λ = 1.5418 Å (Cu Kα).

Structure:
```
data_BaCd2I6
_cell_length_a 9.413
_cell_length_b 9.413
_cell_length_c 9.413
_cell_angle_alpha 50.82
_cell_angle_beta 50.82
_cell_angle_gamma 50.82
_symmetry_space_group_name_H-M 'P 1'
_symmetry_Int_Tables_number 1
loop_
_symmetry_equiv_pos_as_xyz
'x,y,z'
loop_
_atom_site_label
_atom_site_fract_x
_atom_site_fract_y
_atom_site_fract_z
Ba1 0.000 0.000 0.000
Cd1 0.574 0.574 0.574
Cd2 0.755 0.755 0.755
I1 0.102 0.721 0.426
I2 0.241 0.568 0.921
I3 0.426 0.102 0.721
I4 0.568 0.921 0.241
I5 0.721 0.426 0.102
I6 0.921 0.241 0.568
```

Principal peaks in the range 2θ from 5° to 70°, in order of rising 2θ:
2θ (°)	Rel. int.
21.74	37
22.13	15
24.58	100
38.62	48
39.90	27
44.74	30
46.30	16
60.20	20